Record 1
TmSc3Zn8: theoretical powder diffractogram (Cu Kα X-rays), based on a structure optimized by DFT (GGA-PBE).
Intensities are scaled so that the largest is 100.

The 10 most intense peaks (2θ = 10–90°), in order of rising 2θ:
2θ = 21.9°, I 26, hkl 1 0 1; 2θ = 33.6°, I 29, hkl 1 1 0; 2θ = 37.2°, I 69, hkl 0 1 3; 2θ = 39.9°, I 100, hkl 1 1 2; 2θ = 40.5°, I 89, hkl 2 0 1; 2θ = 44.7°, I 22, hkl 0 2 2; 2θ = 62.5°, I 25, hkl 1 2 3; 2θ = 64.4°, I 23, hkl 3 0 2; 2θ = 68.5°, I 28, hkl 0 2 5; 2θ = 70.7°, I 25, hkl 2 2 0

Cell: 5.3278 5.3278 8.5042 Å, 90.00 90.00 120.00°
Space group P3m1 (No. 156)
Unique sites:
Tm (0.0000, 0.0000, 0.0000)
Sc (0.0000, 0.0000, 0.3797)
Sc (0.6667, 0.3333, 0.4918)
Sc (0.6667, 0.3333, 0.8658)
Zn (0.1632, 0.3265, 0.6823)
Zn (0.3333, 0.6667, 0.4345)
Zn (0.3333, 0.6667, 0.9342)
Zn (0.5044, 0.0088, 0.1870)



Record 2
Tm2ScZn2: theoretical powder diffractogram (Cu Kα X-rays), based on a structure optimized by DFT (GGA-PBE).
Intensities are scaled so that the largest is 100.

The 10 most intense peaks (2θ = 10–90°), in order of rising 2θ:
2θ = 13.8°, I 17, hkl 0 0 2; 2θ = 19.2°, I 11, hkl 0 1 1; 2θ = 27.6°, I 13, hkl 0 1 3; 2θ = 31.5°, I 13, hkl 1 1 -1; 2θ = 35.1°, I 19, hkl 0 0 5; 2θ = 36.0°, I 100, hkl 1 1 2; 2θ = 36.3°, I 27, hkl 0 2 0; 2θ = 51.4°, I 12, hkl 0 2 5; 2θ = 65.1°, I 17, hkl 1 3 2; 2θ = 65.3°, I 10, hkl 2 2 -1

Cell: 3.5006 4.9459 12.9204 Å, 90.00 97.82 90.00°
Space group P2_1/m (No. 11)
Unique sites:
Tm (0.0457, 0.2500, 0.0914)
Tm (0.2324, 0.2500, 0.4656)
Sc (0.1459, 0.7500, 0.2911)
Zn (0.3600, 0.7500, 0.7204)
Zn (0.4467, 0.2500, 0.8924)



Record 3
Tm2ScZn2: theoretical powder diffractogram (Cu Kα X-rays), based on a structure optimized by DFT (GGA-PBE).
Intensities are scaled so that the largest is 100.

The 10 most intense peaks (2θ = 10–90°), in order of rising 2θ:
2θ = 27.1°, I 33, hkl 1 1 0; 2θ = 27.4°, I 20, hkl 0 2 0; 2θ = 31.7°, I 18, hkl 0 1 3; 2θ = 33.3°, I 100, hkl 1 1 2; 2θ = 33.5°, I 43, hkl 0 2 2; 2θ = 37.2°, I 25, hkl 1 0 3; 2θ = 37.6°, I 27, hkl 1 2 1; 2θ = 47.8°, I 18, hkl 2 0 0; 2θ = 48.2°, I 20, hkl 1 3 0; 2θ = 62.1°, I 24, hkl 1 2 5

Cell: 3.8033 6.5182 9.3804 Å, 90.00 90.00 90.00°
Space group Immm (No. 71)
Unique sites:
Tm (0.0000, 0.0000, 0.2117)
Sc (0.0000, 0.5000, 0.0000)
Zn (0.0000, 0.3030, 0.5000)



Record 4
Tm2Zr2Sc3: theoretical powder diffractogram (Cu Kα X-rays), based on a structure optimized by DFT (GGA-PBE).
Intensities are scaled so that the largest is 100.

The 10 most intense peaks (2θ = 10–90°), in order of rising 2θ:
2θ = 14.1°, I 34, hkl 0 1 -1; 2θ = 23.8°, I 11, hkl 0 0 2; 2θ = 28.0°, I 14, hkl 1 -1 0; 2θ = 33.0°, I 33, hkl 0 2 1; 2θ = 33.4°, I 100, hkl 0 1 -3; 2θ = 38.4°, I 22, hkl 0 3 -2; 2θ = 38.8°, I 44, hkl 1 0 2; 2θ = 55.4°, I 14, hkl 1 -4 0; 2θ = 55.9°, I 15, hkl 1 2 -4; 2θ = 66.8°, I 13, hkl 2 0 -3

Cell: 3.2779 7.4272 8.0451 Å, 111.30 90.00 102.74°
Space group P-1 (No. 2)
Unique sites:
Tm (0.0796, 0.1577, 0.2198)
Zr (0.2121, 0.4241, 0.6381)
Sc (0.3506, 0.7016, 0.0758)
Sc (0.5000, 0.0000, 0.5000)



Record 5
TmZr2Sc2: theoretical powder diffractogram (Cu Kα X-rays), based on a structure optimized by DFT (GGA-PBE).
Intensities are scaled so that the largest is 100.

The 10 most intense peaks (2θ = 10–90°), in order of rising 2θ:
2θ = 22.9°, I 24, hkl 1 1 1; 2θ = 33.0°, I 32, hkl 2 0 3; 2θ = 34.9°, I 76, hkl 2 1 2; 2θ = 35.1°, I 100, hkl 0 2 0; 2θ = 48.9°, I 20, hkl 2 2 3; 2θ = 51.6°, I 15, hkl 2 0 7; 2θ = 62.8°, I 13, hkl 2 3 2; 2θ = 63.0°, I 16, hkl 0 3 5; 2θ = 64.0°, I 16, hkl 2 2 7; 2θ = 68.4°, I 27, hkl 4 2 0

Cell: 6.5055 5.1133 14.7651 Å, 90.00 90.00 90.00°
Space group Pnma (No. 62)
Unique sites:
Tm (0.1327, 0.2500, 0.0408)
Zr (0.1197, 0.7500, 0.3462)
Zr (0.1270, 0.7500, 0.7517)
Sc (0.1173, 0.2500, 0.4542)
Sc (0.1249, 0.7500, 0.1590)



Record 6
TmZr3Sc7: theoretical powder diffractogram (Cu Kα X-rays), based on a structure optimized by DFT (GGA-PBE).
Intensities are scaled so that the largest is 100.

The 10 most intense peaks (2θ = 10–90°), in order of rising 2θ:
2θ = 15.8°, I 37, hkl 1 0 0; 2θ = 19.5°, I 23, hkl 1 0 1; 2θ = 30.0°, I 18, hkl 1 1 1; 2θ = 34.1°, I 100, hkl 2 0 1; 2θ = 34.6°, I 31, hkl 0 0 3; 2θ = 39.7°, I 64, hkl 0 2 2; 2θ = 57.0°, I 21, hkl 2 2 0; 2θ = 57.7°, I 20, hkl 2 0 4; 2θ = 68.1°, I 12, hkl 0 4 1; 2θ = 68.4°, I 23, hkl 2 2 3

Cell: 6.4603 6.4603 7.7783 Å, 90.00 90.00 120.00°
Space group P3m1 (No. 156)
Unique sites:
Tm (0.0000, 0.0000, 0.0000)
Zr (0.3360, 0.1680, 0.3396)
Sc (0.1668, 0.3336, 0.6572)
Sc (0.5010, 0.0020, 0.0139)
Sc (0.6667, 0.3333, 0.6712)



Record 7
TmZrSc2: theoretical powder diffractogram (Cu Kα X-rays), based on a structure optimized by DFT (GGA-PBE).
Intensities are scaled so that the largest is 100.

The 10 most intense peaks (2θ = 10–90°), in order of rising 2θ:
2θ = 16.7°, I 64, hkl 0 0 2; 2θ = 31.2°, I 37, hkl 2 0 -1; 2θ = 31.6°, I 51, hkl 1 1 -1; 2θ = 33.7°, I 48, hkl 0 0 4; 2θ = 34.2°, I 100, hkl 2 0 1; 2θ = 37.0°, I 91, hkl 2 0 -3; 2θ = 55.4°, I 34, hkl 0 2 0; 2θ = 58.8°, I 17, hkl 2 0 5; 2θ = 64.3°, I 18, hkl 2 0 -7; 2θ = 66.4°, I 38, hkl 3 1 3

Cell: 5.7489 3.3182 10.8021 Å, 90.00 100.25 90.00°
Space group Cm (No. 8)
Unique sites:
Tm (0.0000, 0.0000, 0.0000)
Zr (0.1665, 0.0000, 0.4963)
Sc (0.0798, 0.5000, 0.7355)
Sc (0.4206, 0.0000, 0.2610)



Record 8
TmZr4Sc15: theoretical powder diffractogram (Cu Kα X-rays), based on a structure optimized by DFT (GGA-PBE).
Intensities are scaled so that the largest is 100.

The 10 most intense peaks (2θ = 10–90°), in order of rising 2θ:
2θ = 19.4°, I 13, hkl 1 0 0; 2θ = 27.5°, I 17, hkl 1 1 0; 2θ = 33.8°, I 100, hkl 1 1 5; 2θ = 39.1°, I 16, hkl 0 0 10; 2θ = 39.4°, I 33, hkl 2 0 0; 2θ = 56.7°, I 20, hkl 2 0 10; 2θ = 56.9°, I 10, hkl 2 2 0; 2θ = 67.5°, I 11, hkl 1 1 15; 2θ = 67.9°, I 23, hkl 3 1 5; 2θ = 71.2°, I 10, hkl 2 2 10

Cell: 4.5763 4.5763 23.0420 Å, 90.00 90.00 90.00°
Space group P4/mmm (No. 123)
Unique sites:
Tm (0.0000, 0.0000, 0.0000)
Zr (0.0000, 0.0000, 0.2022)
Zr (0.0000, 0.0000, 0.4014)
Sc (0.0000, 0.5000, 0.1067)
Sc (0.0000, 0.5000, 0.3031)
Sc (0.0000, 0.5000, 0.5000)
Sc (0.5000, 0.5000, 0.0000)
Sc (0.5000, 0.5000, 0.2033)
Sc (0.5000, 0.5000, 0.4010)